Diffraction record for Ho4Ge2Sb. The powder diffractogram is calculated, not measured: it uses a crystal structure in Alexandria, relaxed with GGA-PBE and Cu Kα, 1.54184 Å.
Kinematic intensities with the Lorentz-polarization factor, no thermal factor.

The 10 most intense peaks (15° ≤ 2θ ≤ 90°), in order of rising 2θ:
2θ 28.38, intensity 17, (2 0 2)
2θ 31.55, intensity 100, (3 0 1)
2θ 32.04, intensity 54, (1 0 3)
2θ 37.54, intensity 41, (3 2 1)
2θ 37.69, intensity 40, (3 1 2)
2θ 37.94, intensity 18, (2 1 3)
2θ 49.92, intensity 16, (4 2 2)
2θ 50.40, intensity 12, (2 2 4)
2θ 51.98, intensity 18, (4 3 1)
2θ 52.56, intensity 15, (3 1 4)

Atomic structure:
```
data_Ho4Ge2Sb
_cell_length_a 8.976
_cell_length_b 8.976
_cell_length_c 8.819
_cell_angle_alpha 90.00
_cell_angle_beta 90.00
_cell_angle_gamma 90.00
_space_group_name_H-M_alt 'I -4 2 d'
_space_group_IT_number 122
_space_group_name_Hall 'I -4 2bw'
loop_
_atom_site_label
_atom_site_type_symbol
_atom_site_fract_x
_atom_site_fract_y
_atom_site_fract_z
Ho1 Ho 0.069 0.675 0.435
Ge1 Ge 0.132 0.750 0.125
Sb1 Sb 0.000 0.000 0.500
```